1.
# RbAuO3
Calculated X-ray powder pattern, Cu Kα (weighted mean of Kα1 and Kα2). Input: a crystal structure in the Materials Project, relaxed with PBE.
No peak broadening, texture or thermal motion is included.

Atomic structure:
```
RbAuO3
1.0
4.2173 0.0000 0.0000
0.0000 4.2173 0.0000
0.0000 0.0000 4.2173
Rb Au O
1 1 3
Cartesian
0.0000 0.0000 0.0000
2.1087 2.1087 2.1087
0.0000 2.1087 2.1087
2.1087 0.0000 2.1087
2.1087 2.1087 0.0000
```

Most intense lines, 2θ = 10–90°, by angle:
21.07 deg, I 27
29.96 deg, I 100
42.89 deg, I 29
53.20 deg, I 41
62.27 deg, I 18
86.31 deg, I 23

2.
# AuSO4
Calculated X-ray powder pattern, Cu Kα (weighted mean of Kα1 and Kα2). Input: a crystal structure in the Materials Project, relaxed with PBE.
No peak broadening, texture or thermal motion is included.

Atomic structure:
```
AuSO4
1.0
8.5319 0.0000 0.0000
0.0000 10.5978 0.0000
0.0000 0.0000 8.7913
Au S O
8 8 32
Cartesian
0.4570 0.1685 1.1763
0.4570 5.1304 5.5719
3.8090 5.4674 1.1763
3.8090 10.4293 5.5719
4.7229 0.1685 3.2194
4.7229 5.1304 7.6150
8.0749 5.4674 3.2194
8.0749 10.4293 7.6150
1.9657 1.4661 3.7030
1.9657 3.8328 8.0986
2.3002 6.7650 3.7030
2.3002 9.1317 8.0986
6.2317 1.4661 0.6927
6.2317 3.8328 5.0884
6.5662 6.7650 0.6927
6.5662 9.1317 5.0884
1.0007 6.8514 2.8802
1.0007 9.0453 7.2758
1.1628 0.2892 3.2278
1.1628 5.0097 7.6235
1.2967 2.5664 8.0258
1.2967 2.7325 3.6301
1.9471 6.4634 5.1656
1.9471 9.4333 0.7699
2.3188 1.1645 5.1656
2.3188 4.1344 0.7699
2.9692 7.8653 8.0258
2.9692 8.0314 3.6301
3.1031 5.5881 3.2278
3.1031 10.3086 7.6235
3.2653 1.5525 2.8802
3.2653 3.7464 7.2758
5.2666 6.8514 1.5155
5.2666 9.0453 5.9111
5.4288 0.2892 1.1678
5.4288 5.0097 5.5635
5.5627 2.5664 5.1612
5.5627 2.7325 0.7656
6.2131 6.4634 8.0214
6.2131 9.4333 3.6257
6.5848 1.1645 8.0214
6.5848 4.1344 3.6257
7.2352 7.8653 5.1612
7.2352 8.0314 0.7656
7.3691 5.5881 1.1678
7.3691 10.3086 5.5635
7.5312 1.5525 1.5155
7.5312 3.7464 5.9111
```

Most intense lines, 2θ = 10–90°, by angle:
16.73 deg, I 100
24.67 deg, I 18
26.83 deg, I 18
29.18 deg, I 15
33.42 deg, I 19
41.45 deg, I 20

3.
# Au2Se2O7
Calculated X-ray powder pattern, Cu Kα (weighted mean of Kα1 and Kα2). Input: a crystal structure in the Materials Project, relaxed with PBE.
No peak broadening, texture or thermal motion is included.

Atomic structure:
```
Au2Se2O7
1.0
7.2574 0.0000 0.0000
0.0000 11.5875 0.0000
0.0000 0.0000 4.2976
Au Se O
4 4 14
Cartesian
1.4055 0.7346 0.0000
2.2231 6.5284 0.0000
5.0342 5.0591 0.0000
5.8518 10.8529 0.0000
0.7401 3.8046 3.2488
2.8886 9.5984 3.2488
4.3688 1.9891 3.2488
6.5173 7.7829 3.2488
0.0000 0.0000 1.2074
0.2715 2.4246 4.2302
0.8755 7.2471 2.8922
1.1862 4.8099 0.3153
2.4425 10.6036 0.3153
2.7532 1.4534 2.8922
3.3572 8.2183 4.2302
3.6287 5.7938 1.2074
3.9002 3.3692 4.2302
4.5042 10.1341 2.8922
4.8149 0.9839 0.3153
6.0711 6.7776 0.3153
6.3819 4.3404 2.8922
6.9859 9.1629 4.2302
```

Most intense lines, 2θ = 10–90°, by angle:
19.61 deg, I 33
20.67 deg, I 100
25.77 deg, I 71
28.64 deg, I 44
33.28 deg, I 67
39.52 deg, I 44

4.
# Au2Se4O11
Calculated X-ray powder pattern, Cu Kα (weighted mean of Kα1 and Kα2). Input: a crystal structure in the Materials Project, relaxed with PBE.
No peak broadening, texture or thermal motion is included.

Atomic structure:
```
Au2Se4O11
1.0
10.4178 -2.1548 0.0000
10.4178 2.1548 0.0000
-5.7296 0.0000 12.6107
Au Se O
4 8 22
Cartesian
0.0000 0.0000 0.0000
-2.8648 0.0000 6.3053
5.2089 1.0774 0.0000
2.3441 -1.0774 6.3053
4.5733 1.1286 5.2401
4.5179 1.1178 9.5261
7.7233 1.1178 9.3899
13.3975 1.1286 1.0653
1.7085 -1.1286 11.5454
7.3827 -1.1178 3.2208
10.5881 -1.1178 3.0846
10.5327 -1.1286 7.3706
6.1206 2.0796 9.4580
-1.6497 0.2435 9.4531
-0.8463 0.0764 6.2610
-3.7111 -0.0764 12.5664
1.2151 -0.2435 3.1478
4.1462 0.1981 1.5137
3.7533 0.3493 6.5929
1.2814 -0.1981 7.8190
4.5789 0.6537 11.2363
7.6623 0.6537 7.6797
6.6181 -0.3493 0.2875
8.4879 0.3493 12.3231
7.4437 -0.6537 4.9310
10.5271 -0.6537 1.3743
13.8246 0.1981 4.7917
11.3527 -0.3493 6.0178
10.9598 -0.1981 11.0970
13.8909 0.2435 9.4629
18.8170 0.0764 0.0443
15.9522 -0.0764 6.3497
16.7557 -0.2435 3.1576
8.9854 -2.0796 3.1527
```

Most intense lines, 2θ = 10–90°, by angle:
14.05 deg, I 100
18.17 deg, I 45
21.14 deg, I 46
24.34 deg, I 72
28.31 deg, I 47
29.95 deg, I 73

5.
# Au2Se3O10
Calculated X-ray powder pattern, Cu Kα (weighted mean of Kα1 and Kα2). Input: a crystal structure in the Materials Project, relaxed with PBE.
No peak broadening, texture or thermal motion is included.

Atomic structure:
```
Au2Se3O10
1.0
8.7231 -3.2045 0.0000
8.7231 3.2045 0.0000
0.0000 0.0000 8.8620
Au Se O
4 6 20
Cartesian
2.7613 0.1520 0.0000
2.7613 -0.1520 4.4310
14.6850 0.1520 0.0000
14.6850 -0.1520 4.4310
8.7231 2.2829 1.2717
5.8610 0.1996 7.8481
5.8610 -0.1996 3.4171
11.5852 0.1996 7.8481
11.5852 -0.1996 3.4171
8.7231 -2.2829 5.7027
1.3599 0.1796 1.4723
1.3599 -0.1796 5.9033
5.7877 1.3659 0.2968
6.0566 1.0379 4.6289
4.1679 0.1301 7.3895
8.7231 1.6557 8.6200
4.1679 -0.1301 2.9585
8.7231 1.3095 2.5879
11.6585 1.3659 0.2968
11.3897 1.0379 4.6289
6.0566 -1.0379 0.1979
5.7877 -1.3659 4.7278
8.7231 -1.3095 7.0188
13.2784 0.1301 7.3895
8.7231 -1.6557 4.1890
13.2784 -0.1301 2.9585
11.3897 -1.0379 0.1979
11.6585 -1.3659 4.7278
16.0864 0.1796 1.4723
16.0864 -0.1796 5.9033
```

Most intense lines, 2θ = 10–90°, by angle:
10.14 deg, I 58
14.73 deg, I 72
20.04 deg, I 91
28.91 deg, I 100
30.75 deg, I 71
46.07 deg, I 72

6.
# Sm4Au2O9
Calculated X-ray powder pattern, Cu Kα (weighted mean of Kα1 and Kα2). Input: a crystal structure in the Materials Project, relaxed with PBE.
No peak broadening, texture or thermal motion is included.

Atomic structure:
```
Sm4Au2O9
1.0
11.9481 0.0000 0.0000
0.0000 6.1007 0.0000
0.0000 0.0000 11.9575
Sm Au O
16 8 36
Cartesian
0.1348 1.4721 1.0749
0.1348 4.6286 7.0536
1.9049 1.1968 9.1355
1.9049 4.9039 3.1568
4.0691 1.8536 3.1568
4.0691 4.2471 9.1355
5.8392 1.5782 7.0536
5.8392 4.5225 1.0749
6.1089 1.5782 10.8826
6.1089 4.5225 4.9039
7.8789 1.8536 2.8219
7.8789 4.2471 8.8007
10.0432 1.1968 8.8007
10.0432 4.9039 2.8219
11.8132 1.4721 4.9039
11.8132 4.6286 10.8826
2.7324 2.5606 6.1066
2.7324 3.5401 0.1278
3.2417 0.4897 0.1278
3.2417 5.6110 6.1066
8.7064 0.4897 5.8509
8.7064 5.6110 11.8296
9.2157 2.5606 11.8296
9.2157 3.5401 5.8509
0.0000 0.1430 2.9894
0.0000 5.9577 8.9681
0.9090 2.3697 7.0405
0.9090 3.7310 1.0618
1.3577 0.3861 11.3058
1.3577 5.7146 5.3270
1.9502 2.6816 4.1917
1.9502 3.4190 10.1704
2.3481 0.7764 1.9062
2.3481 5.3243 7.8850
3.6259 2.2739 7.8850
3.6259 3.8267 1.9062
4.0238 0.3687 10.1704
4.0238 5.7320 4.1917
4.6163 2.6643 5.3270
4.6163 3.4364 11.3058
5.0650 0.6807 1.0618
5.0650 5.4200 7.0405
5.9740 2.9074 8.9681
5.9740 3.1933 2.9894
6.8830 0.6807 4.9169
6.8830 5.4200 10.8957
7.3318 2.6643 0.6517
7.3318 3.4364 6.6304
7.9243 0.3687 7.7658
7.9243 5.7320 1.7871
8.3221 2.2739 10.0512
8.3221 3.8267 4.0725
9.6000 0.7764 4.0725
9.6000 5.3243 10.0512
9.9978 2.6816 1.7871
9.9978 3.4190 7.7658
10.5903 0.3861 6.6304
10.5903 5.7146 0.6517
11.0391 2.3697 10.8957
11.0391 3.7310 4.9169
```

Most intense lines, 2θ = 10–90°, by angle:
14.82 deg, I 28
27.77 deg, I 100
31.17 deg, I 36
32.97 deg, I 23
33.53 deg, I 70
36.32 deg, I 27

7.
# Sm3AuO6
Calculated X-ray powder pattern, Cu Kα (weighted mean of Kα1 and Kα2). Input: a crystal structure in the Materials Project, relaxed with PBE.
No peak broadening, texture or thermal motion is included.

Atomic structure:
```
Sm3AuO6
1.0
3.7459 0.0000 0.0000
-0.1112 5.6760 0.0000
-1.5733 -0.1049 6.9974
Sm Au O
3 1 6
Cartesian
0.0000 0.0000 0.0000
0.2555 2.5954 5.1425
1.8060 2.9756 1.8549
-0.7866 -0.0525 3.4987
-0.0783 4.4729 2.0409
-0.0583 1.6930 2.6969
0.1857 4.1202 6.8413
1.8757 1.4508 0.1561
2.1198 3.8781 4.3005
2.1398 1.0982 4.9564
```

Most intense lines, 2θ = 10–90°, by angle:
28.76 deg, I 96
29.37 deg, I 73
29.79 deg, I 100
30.21 deg, I 88
31.27 deg, I 56
31.53 deg, I 59

8.
# Sr2AuO4
Calculated X-ray powder pattern, Cu Kα (weighted mean of Kα1 and Kα2). Input: a crystal structure in the Materials Project, relaxed with PBE.
No peak broadening, texture or thermal motion is included.

Atomic structure:
```
Sr2AuO4
1.0
-3.6427 3.6427 4.1834
3.6427 -3.6427 4.1834
3.6427 3.6427 -4.1834
Sr Au O
4 2 8
Cartesian
0.0000 0.0000 0.0000
1.8214 1.8214 -2.0917
1.8214 -1.8214 2.0917
0.0000 3.6427 0.0000
3.6427 1.8214 1.0458
0.0000 1.8214 3.1375
3.6427 -0.1718 1.6292
3.6427 3.4710 -1.6292
1.6496 1.8214 0.4625
1.9931 -1.8214 4.6459
1.6496 5.4641 -0.4625
1.9931 1.8214 3.7209
0.0000 0.1718 5.8126
0.0000 3.8145 2.5542
```

Most intense lines, 2θ = 10–90°, by angle:
24.44 deg, I 35
27.46 deg, I 48
29.42 deg, I 100
34.43 deg, I 50
44.92 deg, I 30
46.22 deg, I 35

9.
# SrAuO2
Calculated X-ray powder pattern, Cu Kα (weighted mean of Kα1 and Kα2). Input: a crystal structure in the Materials Project, relaxed with PBE.
No peak broadening, texture or thermal motion is included.

Atomic structure:
```
SrAuO2
1.0
3.5848 -4.9821 0.0000
3.5848 4.9821 0.0000
-0.0020 0.0000 3.6716
Sr Au O
2 2 4
Cartesian
1.7924 2.4910 0.0000
1.7924 -2.4910 0.0000
-0.0010 0.0000 1.8358
3.5838 0.0000 1.8358
3.5838 2.9180 1.8358
1.8046 0.0000 2.8518
5.3631 0.0000 0.8198
3.5838 -2.9180 1.8358
```

Most intense lines, 2θ = 10–90°, by angle:
30.24 deg, I 100
30.73 deg, I 86
34.98 deg, I 89
36.06 deg, I 42
51.11 deg, I 57
59.54 deg, I 34

10.
# SrAu2O8
Calculated X-ray powder pattern, Cu Kα (weighted mean of Kα1 and Kα2). Input: a crystal structure in the Materials Project, relaxed with PBE.
No peak broadening, texture or thermal motion is included.

Atomic structure:
```
SrAu2O8
1.0
-2.4289 2.4289 6.6109
2.4289 -2.4289 6.6109
2.4289 2.4289 -6.6109
Sr Au O
1 2 8
Cartesian
0.0000 0.0000 0.0000
0.0000 0.0000 4.7157
0.0000 0.0000 8.5061
2.9895 -0.4471 1.7311
1.8683 0.4471 1.7311
2.8760 -0.5606 4.8798
1.9818 0.5606 4.8798
-0.4471 1.8683 1.7311
0.4471 2.9895 1.7311
-0.5606 1.9818 4.8798
0.5606 2.8760 4.8798
```

Most intense lines, 2θ = 10–90°, by angle:
19.47 deg, I 26
25.94 deg, I 45
26.97 deg, I 22
27.32 deg, I 100
37.01 deg, I 31
46.61 deg, I 51